Record 1
Calculated PXRD pattern
Compound: Ba4Mn3O10
Radiation: Cu Ka
Structure: the GGA+U geometry in the Materials Project
Peak positions follow from Bragg's law for the DFT cell and can differ from measured ones.

Crystal structure
a b c (Å): 5.782 13.284 13.083
angles (deg): 90.00 90.00 90.00
Space group Cmce (No. 64)
Inequivalent atoms, fractional coordinates:
Ba  0.000  0.037  0.142 (multiplicity 8)
Ba  0.000  0.243  0.388 (multiplicity 8)
Mn  0.000  0.000  0.500 (multiplicity 4)
Mn  0.000  0.126  0.653 (multiplicity 8)
O  0.000  0.034  0.356 (multiplicity 8)
O  0.000  0.236  0.150 (multiplicity 8)
O  0.219  0.104  0.539 (multiplicity 16)
O  0.250  0.114  0.750 (multiplicity 8)

Most intense lines, 10 to 80 degrees two-theta, by intensity:
28.8 deg, I 100.0; 30.9 deg, I 45.9; 41.4 deg, I 40.3; 41.7 deg, I 36.5; 27.3 deg, I 36.2; 32.7 deg, I 31.4; 26.5 deg, I 20.6; 53.7 deg, I 16.3; 26.8 deg, I 15.6; 49.2 deg, I 14.5

Record 2
Calculated PXRD pattern
Compound: Na3SmMn3As3O15
Radiation: Cu Ka
Structure: the GGA+U geometry in the Materials Project
Peak positions follow from Bragg's law for the DFT cell and can differ from measured ones.

Crystal structure
a b c (Å): 11.2757 11.2757 6.1265
angles (deg): 90.00 90.00 120.00
Space group P6_3/m (No. 176)
Inequivalent atoms, fractional coordinates:
Na  0.1100  0.8399  0.2500 (multiplicity 6)
Sm  0.3333  0.6667  0.2500 (multiplicity 2)
Mn  0.0000  0.5000  0.0000 (multiplicity 6)
As  0.1857  0.7862  0.7500 (multiplicity 6)
O  0.0732  0.4220  0.7500 (multiplicity 6)
O  0.0785  0.8500  0.7500 (multiplicity 6)
O  0.0894  0.4757  0.2500 (multiplicity 6)
O  0.1740  0.6917  0.5177 (multiplicity 12)

Most intense lines, 10 to 80 degrees two-theta, by intensity:
23.3 deg, I 100.0; 34.6 deg, I 52.2; 31.7 deg, I 48.9; 28.2 deg, I 29.7; 31.1 deg, I 23.1; 47.6 deg, I 20.7; 33.1 deg, I 18.7; 58.4 deg, I 16.3; 54.4 deg, I 16.1; 36.3 deg, I 15.7

Record 3
Calculated PXRD pattern
Compound: KBaGdWO6
Radiation: Cu Ka
Structure: the GGA+U geometry in the Materials Project
Peak positions follow from Bragg's law for the DFT cell and can differ from measured ones.

Crystal structure
a b c (Å): 8.513 8.513 8.513
angles (deg): 90.00 90.00 90.00
Space group F-43m (No. 216)
Inequivalent atoms, fractional coordinates:
K  0.000  0.000  0.000 (multiplicity 4)
Ba  0.000  0.000  0.500 (multiplicity 4)
Gd  0.250  0.250  0.750 (multiplicity 4)
W  0.250  0.250  0.250 (multiplicity 4)
O  0.020  0.250  0.250 (multiplicity 24)

Most intense lines, 10 to 80 degrees two-theta, by intensity:
29.7 deg, I 100.0; 52.7 deg, I 40.3; 42.5 deg, I 29.7; 20.9 deg, I 20.6; 61.6 deg, I 18.5; 69.9 deg, I 18.2; 18.0 deg, I 9.3; 47.8 deg, I 9.1; 77.7 deg, I 6.1; 35.0 deg, I 5.0

Record 4
Calculated PXRD pattern
Compound: LiMnF4
Radiation: Cu Ka
Structure: the GGA+U geometry in the Materials Project
Peak positions follow from Bragg's law for the DFT cell and can differ from measured ones.

Crystal structure
a b c (Å): 5.956 4.844 10.500
angles (deg): 90.00 90.14 90.00
Space group P2_1/c (No. 14)
Inequivalent atoms, fractional coordinates:
Li  0.123  0.008  0.353 (multiplicity 4)
Mn  0.368  0.532  0.135 (multiplicity 4)
F  0.139  0.749  0.704 (multiplicity 4)
F  0.141  0.181  0.565 (multiplicity 4)
F  0.394  0.687  0.937 (multiplicity 4)
F  0.395  0.241  0.800 (multiplicity 4)

Most intense lines, 10 to 80 degrees two-theta, by intensity:
20.2 deg, I 100.0; 14.9 deg, I 55.7; 25.2 deg, I 52.5; 22.6 deg, I 43.8; 51.7 deg, I 42.2; 39.0 deg, I 32.3; 39.4 deg, I 32.3; 36.4 deg, I 22.9; 31.5 deg, I 20.1; 35.0 deg, I 19.1

Record 5
Calculated PXRD pattern
Compound: TmMnO3
Radiation: Cu Ka
Structure: the GGA+U geometry in the Materials Project
Peak positions follow from Bragg's law for the DFT cell and can differ from measured ones.

Crystal structure
a b c (Å): 6.1443 6.1443 11.4899
angles (deg): 90.00 90.00 120.00
Space group P6_3cm (No. 185)
Inequivalent atoms, fractional coordinates:
Tm  0.0000  0.0000  0.0000 (multiplicity 2)
Tm  0.3333  0.6667  0.4561 (multiplicity 4)
Mn  0.0000  0.3334  0.2253 (multiplicity 6)
O  0.0000  0.0000  0.1991 (multiplicity 2)
O  0.0000  0.3064  0.3912 (multiplicity 6)
O  0.0000  0.3600  0.0596 (multiplicity 6)
O  0.3333  0.6667  0.2475 (multiplicity 4)

Most intense lines, 10 to 80 degrees two-theta, by intensity:
33.1 deg, I 100.0; 29.1 deg, I 49.5; 15.4 deg, I 41.1; 51.5 deg, I 35.8; 43.1 deg, I 33.8; 31.1 deg, I 27.9; 61.4 deg, I 23.7; 30.1 deg, I 19.0; 56.6 deg, I 18.1; 62.6 deg, I 16.9